Entry 1:
Calculated powder X-ray diffraction pattern
Compound: YEr2Fe6CoNi2
Radiation: a wavelength of 1.5418 Å
Structure: a crystal structure in OQMD, relaxed with GGA-PBE

Principal peaks in the range 10° ≤ 2θ ≤ 80°, sorted by position:
d/Å  2theta  I/Imax  h k l
8.173  10.82  18  0 0 3
3.538  25.17  11  1 0 4
2.724  32.88  40  1 0 7
2.501  35.90  74  1 1 0
2.157  41.87  29  0 2 1
2.133  42.37  100  1 1 6
2.043  44.35  26  0 0 12
1.982  45.79  37  0 1 11
1.483  62.63  12  2 1 7
1.444  64.54  18  3 0 0
1.362  68.97  34  2 0 14
1.250  76.13  19  2 2 0

Lattice parameters (Å, degrees): 5.0016 5.0016 24.5201 90.00 90.00 120.00
Space group R-3m (No. 166, hexagonal axes)
One atom of each set of equivalent atoms:
Y  0.0000  0.0000  0.0000 x3
Er  0.0000  0.0000  0.1420 x6
Fe  0.0008  0.5004  0.9173 x18
Co  0.0000  0.0000  0.5000 x3
Ni  0.0000  0.0000  0.3328 x6

---

Entry 2:
Calculated powder X-ray diffraction pattern
Compound: LiAg5
Radiation: a wavelength of 1.5418 Å
Structure: a crystal structure in OQMD, relaxed with GGA-PBE

Principal peaks in the range 10° ≤ 2θ ≤ 80°, sorted by position:
d/Å  2theta  I/Imax  h k l
4.780  18.56  100  1 0 0
2.390  37.63  18  2 0 0
2.381  37.78  80  1 1 1
2.356  38.20  35  0 0 2
2.132  42.41  96  2 0 1
2.113  42.79  23  1 0 2
1.807  50.51  14  2 1 0
1.509  61.43  18  3 0 1
1.434  65.06  12  2 1 2
1.380  67.93  18  2 2 0
1.365  68.77  13  1 1 3
1.313  71.94  19  2 0 3

Lattice parameters (Å, degrees): 5.5197 5.5197 4.7116 90.00 90.00 120.00
Space group P6/mmm (No. 191)
One atom of each set of equivalent atoms:
Li  0.0000  0.0000  0.0000 x1
Ag  0.0000  0.5000  0.5000 x3
Ag  0.3333  0.6667  0.0000 x2

---

Entry 3:
Calculated powder X-ray diffraction pattern
Compound: DyLuCS
Radiation: a wavelength of 1.5418 Å
Structure: a crystal structure in OQMD, relaxed with GGA-PBE

Principal peaks in the range 10° ≤ 2θ ≤ 80°, sorted by position:
d/Å  2theta  I/Imax  h k l
6.366  13.91  8  0 0 2
3.183  28.03  20  0 0 4
3.166  28.18  31  1 0 0
3.073  29.06  40  1 0 1
2.538  35.37  100  1 0 3
2.245  40.17  15  1 0 4
1.828  49.88  30  1 1 0
1.763  51.87  8  1 0 6
1.585  58.21  21  1 1 4
1.577  58.53  18  1 0 7
1.483  62.63  19  2 0 3
1.385  67.64  12  1 1 6

Lattice parameters (Å, degrees): 3.6563 3.6563 12.7314 90.00 90.00 120.00
Space group P6_3mc (No. 186)
One atom of each set of equivalent atoms:
Dy  0.3333  0.6667  0.0000 x2
Lu  0.3333  0.6667  0.7071 x2
C  0.0000  0.0000  0.1051 x2
S  0.3333  0.6667  0.3489 x2

---

Entry 4:
Calculated powder X-ray diffraction pattern
Compound: K2Be2Zn3
Radiation: a wavelength of 1.5418 Å
Structure: a crystal structure in OQMD, relaxed with GGA-PBE

Principal peaks in the range 10° ≤ 2θ ≤ 80°, sorted by position:
d/Å  2theta  I/Imax  h k l
3.511  25.37  16  0 1 2
3.317  26.88  35  1 0 4
3.191  27.96  30  0 1 5
2.916  30.66  100  1 0 7
2.506  35.83  32  1 0 10
2.381  37.78  20  0 1 11
2.337  38.52  14  0 0 15
2.069  43.76  61  1 1 0
2.037  44.47  27  1 1 3
1.688  54.35  39  0 2 7
1.549  59.69  21  1 1 15
1.307  72.29  14  2 1 7

Lattice parameters (Å, degrees): 4.1376 4.1376 35.0601 90.00 90.00 120.00
Space group R3m (No. 160, hexagonal axes)
One atom of each set of equivalent atoms:
K  0.0000  0.0000  0.0000 x3
K  0.0000  0.0000  0.4426 x3
Be  0.0000  0.0000  0.1888 x3
Be  0.0000  0.0000  0.6011 x3
Zn  0.0000  0.0000  0.2584 x3
Zn  0.0000  0.0000  0.5357 x3
Zn  0.0000  0.0000  0.8510 x3